Nd5Er2Tm12: theoretical powder XRD pattern (Cu Kα (weighted mean of Kα1 and Kα2)), based on a structure optimized by DFT (PBE).

Most intense lines, 2θ from 10° to 80°, in order of rising 2θ:
hkl 2 1 -1, d = 2.892 Å, I = 100.0
hkl 1 0 3, d = 2.886 Å, I = 33.2
hkl 1 3 1, d = 2.503 Å, I = 67.4
hkl 2 4 -3, d = 1.771 Å, I = 32.0
hkl 3 1 2, d = 1.767 Å, I = 15.9
hkl 3 2 -5, d = 1.511 Å, I = 23.8
hkl 3 4 0, d = 1.509 Å, I = 28.4
hkl 2 3 4, d = 1.507 Å, I = 4.7
hkl 2 0 6, d = 1.444 Å, I = 8.2
hkl 4 -4 2, d = 1.252 Å, I = 5.1

Atomic structure:
abc: 6.1298 9.3745 10.6184
angles: 101.04 95.63 90.01
Space group P-1 (No. 2)
Asymmetric unit:
Nd 0.0000 0.0000 0.0000 x1
Nd 0.1586 0.6314 0.9464 x2
Nd 0.2629 0.0533 0.5788 x2
Er 0.4196 0.6816 0.5262 x2
Tm 0.0547 0.2131 0.3171 x2
Tm 0.1039 0.4219 0.6306 x2
Tm 0.2113 0.8403 0.2632 x2
Tm 0.3175 0.2631 0.8949 x2
Tm 0.3696 0.4733 0.2122 x2
Tm 0.4745 0.8938 0.8415 x2